[1]
The following is a computed powder XRD pattern of PuNi5Ge3. It was derived from the GGA-PBE geometry in Alexandria, using Cu Kα.
Lines closer than 0.1° are merged.

Peak list (8 most intense, 10 to 90 degrees two-theta, in order of falling intensity)
2theta  d (Å)  intensity  hkl
36.14  2.486  100  1 3 2
33.99  2.638  99  1 1 3
48.84  1.865  66  2 0 0
30.40  2.940  64  0 0 4
39.73  2.269  64  1 1 4
32.65  2.742  46  1 3 0
50.53  1.806  35  1 5 3
29.30  3.048  31  1 1 2

Cell and atoms:
a b c (Å): 3.729 12.143 11.765
angles (deg): 90.00 90.00 90.00
Space group Cmcm (No. 63)
Unique sites:
1 Pu 0.000 0.158 0.250 [4 per cell]
2 Ni 0.000 0.000 0.000 [4 per cell]
3 Ni 0.000 0.194 0.563 [8 per cell]
4 Ni 0.000 0.445 0.143 [8 per cell]
5 Ge 0.000 0.117 0.750 [4 per cell]
6 Ge 0.000 0.381 0.549 [8 per cell]

[2]
The following is a computed powder XRD pattern of Pu3Ni2Ge3. It was derived from the GGA-PBE geometry in Alexandria, using Cu Kα.
Lines closer than 0.1° are merged.

Peak list (8 most intense, 10 to 90 degrees two-theta, in order of falling intensity)
2theta  d (Å)  intensity  hkl
34.10  2.629  100  1 1 4
34.37  2.609  67  1 3 1
42.52  2.126  48  2 0 0
25.72  3.463  26  0 2 3
36.28  2.476  21  0 2 5
56.38  1.632  21  2 4 0
23.52  3.783  21  1 1 1
40.22  2.242  20  0 4 3

Cell and atoms:
a b c (Å): 4.254 10.191 14.164
angles (deg): 90.00 90.00 90.00
Space group Cmcm (No. 63)
Unique sites:
1 Pu 0.000 0.083 0.114 [8 per cell]
2 Pu 0.000 0.378 0.250 [4 per cell]
3 Ni 0.000 0.205 0.597 [8 per cell]
4 Ge 0.000 0.324 0.750 [4 per cell]
5 Ge 0.000 0.375 0.036 [8 per cell]

[3]
The following is a computed powder XRD pattern of PuNi9Ge2. It was derived from the GGA-PBE geometry in Alexandria, using Cu Kα.
Lines closer than 0.1° are merged.

Peak list (8 most intense, 10 to 90 degrees two-theta, in order of falling intensity)
2theta  d (Å)  intensity  hkl
40.71  2.217  100  4 2 0
35.67  2.517  30  3 2 1
44.21  2.048  18  1 0 3
24.59  3.620  18  2 1 1
74.12  1.279  16  5 5 2
31.21  2.866  15  1 1 2
50.42  1.810  14  4 2 2
58.51  1.578  11  4 1 3

Cell and atoms:
a b c (Å): 9.905 9.905 6.281
angles (deg): 90.00 90.00 90.00
Space group I4_1/amd (No. 141, origin choice 2)
Unique sites:
1 Pu 0.000 0.250 0.375 [4 per cell]
2 Ni 0.000 0.250 0.875 [4 per cell]
3 Ni 0.124 0.045 0.682 [32 per cell]
4 Ge 0.000 0.000 0.000 [8 per cell]

[4]
The following is a computed powder XRD pattern of Pu2Ni3Ge5. It was derived from the GGA-PBE geometry in Alexandria, using Cu Kα.
Lines closer than 0.1° are merged.

Peak list (8 most intense, 10 to 90 degrees two-theta, in order of falling intensity)
2theta  d (Å)  intensity  hkl
35.59  2.522  100  2 0 2
34.93  2.569  99  3 2 1
35.78  2.510  82  2 4 0
43.70  2.072  75  0 4 2
23.30  3.817  54  1 2 1
51.49  1.775  32  5 2 1
57.00  1.616  25  3 2 3
30.42  2.939  23  0 0 2

Cell and atoms:
a b c (Å): 9.821 11.682 5.878
angles (deg): 90.00 90.00 90.00
Space group Ibam (No. 72)
Unique sites:
1 Pu 0.234 0.137 0.000 [8 per cell]
2 Ni 0.000 0.500 0.250 [4 per cell]
3 Ni 0.107 0.137 0.500 [8 per cell]
4 Ge 0.000 0.000 0.250 [4 per cell]
5 Ge 0.000 0.272 0.250 [8 per cell]
6 Ge 0.161 0.403 0.000 [8 per cell]

[5]
The following is a computed powder XRD pattern of Pu2NiGe3. It was derived from the GGA-PBE geometry in Alexandria, using Cu Kα.
Lines closer than 0.1° are merged.

Peak list (8 most intense, 10 to 90 degrees two-theta, in order of falling intensity)
2theta  d (Å)  intensity  hkl
35.87  2.503  100  3 1 -2
33.07  2.709  90  1 1 1
35.33  2.540  79  1 1 -2
23.77  3.743  65  1 1 0
42.84  2.111  47  0 2 0
39.65  2.273  43  3 1 0
34.94  2.568  38  4 0 -2
40.83  2.210  33  2 0 -3

Cell and atoms:
a b c (Å): 10.420 4.222 6.833
angles (deg): 90.00 129.05 90.00
Space group Cm (No. 8)
Unique sites:
1 Pu 0.000 0.000 0.000 [2 per cell]
2 Pu 0.114 0.000 0.661 [2 per cell]
3 Ni 0.228 0.500 0.425 [2 per cell]
4 Ge 0.248 0.500 0.089 [2 per cell]
5 Ge 0.360 0.000 0.566 [2 per cell]
6 Ge 0.448 0.000 0.253 [2 per cell]

[6]
The following is a computed powder XRD pattern of Pu2NiGeRu. It was derived from the GGA-PBE geometry in Alexandria, using Cu Kα.
Lines closer than 0.1° are merged.

Peak list (8 most intense, 10 to 90 degrees two-theta, in order of falling intensity)
2theta  d (Å)  intensity  hkl
39.38  2.288  100  1 1 2
38.05  2.365  72  2 1 -1
39.23  2.296  36  0 2 0
25.33  3.516  29  1 1 0
26.15  3.408  22  0 0 2
56.82  1.620  21  1 2 -3
69.64  1.350  20  3 2 1
18.40  4.823  16  1 0 -1

Cell and atoms:
a b c (Å): 5.609 4.592 6.993
angles (deg): 90.00 102.91 90.00
Space group P2_1/m (No. 11)
Unique sites:
1 Pu 0.164 0.250 0.033 [2 per cell]
2 Pu 0.327 0.250 0.470 [2 per cell]
3 Ni 0.081 0.750 0.349 [2 per cell]
4 Ge 0.236 0.750 0.736 [2 per cell]
5 Ru 0.439 0.750 0.132 [2 per cell]

[7]
The following is a computed powder XRD pattern of Pu2Si3Ni4Ge. It was derived from the GGA-PBE geometry in Alexandria, using Cu Kα.
Lines closer than 0.1° are merged.

Peak list (8 most intense, 10 to 90 degrees two-theta, in order of falling intensity)
2theta  d (Å)  intensity  hkl
36.80  2.443  100  1 1 2
36.12  2.487  73  1 0 3
23.99  3.709  63  1 0 1
44.98  2.015  44  2 0 0
58.99  1.566  36  2 1 3
31.39  2.850  27  1 1 0
53.40  1.716  26  1 0 5
77.56  1.231  23  3 1 2

Cell and atoms:
a b c (Å): 4.031 4.031 9.481
angles (deg): 90.00 90.00 90.00
Space group P-4m2 (No. 115)
Unique sites:
1 Pu 0.000 0.500 0.248 [2 per cell]
2 Si 0.000 0.500 0.873 [2 per cell]
3 Si 0.500 0.500 0.500 [1 per cell]
4 Ni 0.000 0.000 0.000 [1 per cell]
5 Ni 0.000 0.500 0.629 [2 per cell]
6 Ni 0.500 0.500 0.000 [1 per cell]
7 Ge 0.000 0.000 0.500 [1 per cell]

[8]
The following is a computed powder XRD pattern of ReNiGe2. It was derived from the GGA-PBE geometry in Alexandria, using Cu Kα.
Lines closer than 0.1° are merged.

Peak list (8 most intense, 10 to 90 degrees two-theta, in order of falling intensity)
2theta  d (Å)  intensity  hkl
41.90  2.156  100  2 2 0
76.53  1.245  33  4 2 2
25.30  3.521  22  1 1 1
60.75  1.525  16  4 0 0
49.58  1.839  11  3 1 1
29.29  3.049  8  2 0 0
66.88  1.399  5  3 3 1
82.12  1.174  4  5 1 1

Cell and atoms:
a b c (Å): 6.098 6.098 6.098
angles (deg): 90.00 90.00 90.00
Space group Fm-3m (No. 225)
Unique sites:
1 Re 0.000 0.000 0.000 [4 per cell]
2 Ni 0.000 0.000 0.500 [4 per cell]
3 Ge 0.250 0.250 0.250 [8 per cell]

[9]
The following is a computed powder XRD pattern of Ni14GeRh. It was derived from the GGA-PBE geometry in Alexandria, using Cu Kα.
Lines closer than 0.1° are merged.

Peak list (8 most intense, 10 to 90 degrees two-theta, in order of falling intensity)
2theta  d (Å)  intensity  hkl
47.24  1.924  100  2 2 2
43.94  2.061  59  4 0 0
46.95  1.935  56  2 0 4
42.99  2.104  54  1 2 2
53.74  1.706  27  3 2 2
42.68  2.118  25  1 0 4
75.28  1.262  21  0 2 6
83.16  1.162  17  6 2 2

Cell and atoms:
a b c (Å): 8.243 5.013 8.768
angles (deg): 90.00 90.00 90.00
Space group Amm2 (No. 38)
Unique sites:
1 Ni 0.000 0.000 0.000 [2 per cell]
2 Ni 0.000 0.000 0.499 [2 per cell]
3 Ni 0.000 0.249 0.250 [4 per cell]
4 Ni 0.244 0.000 0.835 [4 per cell]
5 Ni 0.244 0.249 0.083 [8 per cell]
6 Ni 0.249 0.000 0.334 [4 per cell]
7 Ni 0.500 0.248 0.920 [4 per cell]
8 Ge 0.500 0.000 0.170 [2 per cell]
9 Rh 0.500 0.000 0.670 [2 per cell]

[10]
The following is a computed powder XRD pattern of ThNi5Ge2Rh. It was derived from the GGA-PBE geometry in Alexandria, using Cu Kα.
Lines closer than 0.1° are merged.

Peak list (8 most intense, 10 to 90 degrees two-theta, in order of falling intensity)
2theta  d (Å)  intensity  hkl
38.85  2.318  100  1 1 2
48.00  1.896  44  2 0 0
30.52  2.929  34  1 0 2
44.84  2.021  29  1 1 3
46.05  1.971  26  1 0 4
83.27  1.160  21  3 1 2
25.40  3.507  18  1 0 1
68.70  1.366  16  2 1 4

Cell and atoms:
a b c (Å): 3.791 3.791 9.231
angles (deg): 90.00 90.00 90.00
Space group P4/mmm (No. 123)
Unique sites:
1 Th 0.000 0.000 0.000 [1 per cell]
2 Ni 0.000 0.500 0.223 [4 per cell]
3 Ni 0.500 0.500 0.000 [1 per cell]
4 Ge 0.500 0.500 0.372 [2 per cell]
5 Rh 0.000 0.000 0.500 [1 per cell]

[11]
The following is a computed powder XRD pattern of ZnNiGeRh. It was derived from the GGA-PBE geometry in Alexandria, using Cu Kα.
Lines closer than 0.1° are merged.

Peak list (8 most intense, 10 to 90 degrees two-theta, in order of falling intensity)
2theta  d (Å)  intensity  hkl
42.87  2.110  100  2 2 0
78.54  1.218  31  4 2 2
62.24  1.492  16  4 0 0
25.86  3.445  4  1 1 1
50.75  1.799  2  3 1 1
68.55  1.369  1  3 3 1
29.95  2.983  1  2 0 0
84.34  1.148  1  5 1 1

Cell and atoms:
a b c (Å): 5.967 5.967 5.967
angles (deg): 90.00 90.00 90.00
Space group F-43m (No. 216)
Unique sites:
1 Zn 0.000 0.000 0.000 [4 per cell]
2 Ni 0.250 0.250 0.250 [4 per cell]
3 Ge 0.000 0.000 0.500 [4 per cell]
4 Rh 0.250 0.250 0.750 [4 per cell]

[12]
The following is a computed powder XRD pattern of NiGeRu. It was derived from the GGA-PBE geometry in Alexandria, using Cu Kα.
Lines closer than 0.1° are merged.

Peak list (8 most intense, 10 to 90 degrees two-theta, in order of falling intensity)
2theta  d (Å)  intensity  hkl
41.96  2.153  100  1 1 1
44.54  2.034  82  1 1 -2
43.49  2.081  44  0 0 3
42.48  2.128  42  2 0 -1
75.56  1.258  17  3 1 0
58.35  1.581  17  2 0 2
63.26  1.470  15  0 2 0
79.90  1.201  14  0 2 3

Cell and atoms:
a b c (Å): 4.285 2.940 6.403
angles (deg): 90.00 102.82 90.00
Space group Pm (No. 6)
Unique sites:
1 Ni 0.000 0.000 0.000 [1 per cell]
2 Ni 0.249 0.500 0.330 [1 per cell]
3 Ge 0.518 0.500 0.035 [1 per cell]
4 Ge 0.895 0.500 0.678 [1 per cell]
5 Ru 0.401 0.000 0.700 [1 per cell]
6 Ru 0.769 0.000 0.354 [1 per cell]

[13]
The following is a computed powder XRD pattern of Th2Ni4Ge3Ru. It was derived from the GGA-PBE geometry in Alexandria, using Cu Kα.
Lines closer than 0.1° are merged.

Peak list (8 most intense, 10 to 90 degrees two-theta, in order of falling intensity)
2theta  d (Å)  intensity  hkl
35.81  2.508  100  1 1 2
34.61  2.592  64  1 0 3
44.27  2.046  45  2 0 0
50.63  1.803  33  1 0 5
57.38  1.606  30  2 1 3
23.48  3.790  25  1 0 1
75.93  1.253  24  3 1 2
69.47  1.353  22  2 1 5

Cell and atoms:
a b c (Å): 4.092 4.092 10.046
angles (deg): 90.00 90.00 90.00
Space group P-4m2 (No. 115)
Unique sites:
1 Th 0.000 0.500 0.249 [2 per cell]
2 Ni 0.000 0.000 0.000 [1 per cell]
3 Ni 0.000 0.500 0.639 [2 per cell]
4 Ni 0.500 0.500 0.000 [1 per cell]
5 Ge 0.000 0.500 0.876 [2 per cell]
6 Ge 0.500 0.500 0.500 [1 per cell]
7 Ru 0.000 0.000 0.500 [1 per cell]